The following is a simulated powder XRD pattern of Pr2Sm3Te6. It was derived from a cell relaxed with PBE, using Cu Kα (λ = 1.5418 Å).

Main lines, in order of falling intensity (2θ = 5–70°):
2θ (°)  intensity
28.33  100
40.47  63
66.37  17
50.10  14
50.22  13
40.61  12
66.24  12
58.68  8
66.53  6
58.47  4

Atomic structure:
Cell lengths 7.731, 13.330, 7.726 Å; angles 90.00, 109.55, 90.00 degrees
Space group C2/m (No. 12)
Unique sites:
Pr 0.000 0.164 0.000 (multiplicity 4)
Sm 0.000 0.000 0.500 (multiplicity 2)
Sm 0.000 0.330 0.500 (multiplicity 4)
Te 0.238 0.500 0.749 (multiplicity 4)
Te 0.243 0.339 0.249 (multiplicity 8)

---

The following is a simulated powder XRD pattern of Pr2SmTl3Te6. It was derived from a cell relaxed with PBE, using Cu Kα (λ = 1.5418 Å).

Main lines, in order of falling intensity (2θ = 5–70°):
2θ (°)  intensity
26.79  100
37.07  39
39.39  25
48.27  20
63.99  17
60.76  17
55.19  13
39.38  12
69.90  12
44.31  7

Atomic structure:
Cell lengths 7.925, 13.727, 8.593 Å; angles 90.00, 107.90, 90.00 degrees
Space group C2/m (No. 12)
Unique sites:
Pr 0.000 0.166 0.000 (multiplicity 4)
Sm 0.000 0.500 0.000 (multiplicity 2)
Tl 0.000 0.000 0.500 (multiplicity 2)
Tl 0.000 0.332 0.500 (multiplicity 4)
Te 0.238 0.336 0.220 (multiplicity 8)
Te 0.245 0.000 0.222 (multiplicity 4)

---

The following is a simulated powder XRD pattern of PrSm3Tl4Te8. It was derived from a cell relaxed with PBE, using Cu Kα (λ = 1.5418 Å).

Main lines, in order of falling intensity (2θ = 5–70°):
2θ (°)  intensity
26.92  100
37.16  39
39.67  37
48.59  20
64.46  17
60.96  16
55.48  12
44.30  7
65.30  5
29.08  4

Atomic structure:
Cell lengths 9.0887, 9.0887, 24.5377 Å; angles 90.00, 90.00, 120.00 degrees
Space group R-3m (No. 166, hexagonal axes)
Unique sites:
Pr 0.0000 0.0000 0.0000 (multiplicity 3)
Sm 0.0000 0.5000 0.0000 (multiplicity 9)
Tl 0.0000 0.0000 0.5000 (multiplicity 3)
Tl 0.0000 0.5000 0.5000 (multiplicity 9)
Te 0.0000 0.0000 0.2609 (multiplicity 6)
Te 0.0041 0.5020 0.2601 (multiplicity 18)